# ZnFe2P2O10
Theoretical PXRD pattern, Cu Kα (weighted mean of Kα1 and Kα2). Input: the GGA+U geometry in Alexandria.

Main lines, low angle first (5 to 70 degrees two-theta):
two_theta	Rel. int.
21.89	42
27.85	61
29.98	38
30.78	100
31.86	58
37.11	35
44.64	20
53.73	25
56.46	24
64.18	17

a b c (Å): 7.0843 11.0332 16.6310
angles (deg): 90.00 90.00 90.00
Space group Fddd (No. 70, origin choice 2)
Unique sites:
Zn (0.1250, 0.1250, 0.1250)
Fe (0.0000, 0.0000, 0.5000)
P (0.1250, 0.1250, 0.3338)
O (0.0469, 0.3625, 0.5275)
O (0.0905, 0.0125, 0.8608)
O (0.1250, 0.1250, 0.5476)

# LiVSiCO7
Theoretical PXRD pattern, Cu Kα (weighted mean of Kα1 and Kα2). Input: the GGA+U geometry in Alexandria.

Main lines, low angle first (5 to 70 degrees two-theta):
two_theta	Rel. int.
10.66	59
17.60	51
18.95	50
21.07	100
22.00	12
25.79	28
28.14	83
34.68	16
41.15	21
58.18	16

a b c (Å): 5.2764 6.3425 8.3563
angles (deg): 90.00 96.66 90.00
Space group P2_1/m (No. 11)
Unique sites:
Li (0.1864, 0.2500, 0.0968)
V (0.2171, 0.7500, 0.3232)
Si (0.2447, 0.2500, 0.4243)
C (0.3619, 0.7500, 0.0523)
O (0.0612, 0.2500, 0.5682)
O (0.1147, 0.7500, 0.0787)
O (0.1964, 0.0485, 0.3027)
O (0.4394, 0.7500, 0.9182)
O (0.4551, 0.7500, 0.4927)
O (0.4923, 0.2500, 0.8091)

What did the first record say?
# ZnFe2P2O10
Theoretical PXRD pattern, Cu Kα (weighted mean of Kα1 and Kα2). Input: the GGA+U geometry in Alexandria.

Main lines, low angle first (5 to 70 degrees two-theta):
two_theta	Rel. int.
21.89	42
27.85	61
29.98	38
30.78	100
31.86	58
37.11	35
44.64	20
53.73	25
56.46	24
64.18	17

a b c (Å): 7.0843 11.0332 16.6310
angles (deg): 90.00 90.00 90.00
Space group Fddd (No. 70, origin choice 2)
Unique sites:
Zn (0.1250, 0.1250, 0.1250)
Fe (0.0000, 0.0000, 0.5000)
P (0.1250, 0.1250, 0.3338)
O (0.0469, 0.3625, 0.5275)
O (0.0905, 0.0125, 0.8608)
O (0.1250, 0.1250, 0.5476)